(1)
Computed powder XRD pattern of CoGeN2 for λ = 1.5418 Å (Cu Kα), from a cell relaxed with PBE.

Peak list (12 most intense, 2θ from 10° to 90°, by angle)
32.5°, I = 41, (1 2 0); 32.9°, I = 24, (2 0 0); 34.7°, I = 53, (0 0 2); 36.9°, I = 100, (1 2 1); 37.4°, I = 44, (2 0 1); 48.2°, I = 19, (1 2 2); 57.6°, I = 15, (0 4 0); 58.5°, I = 28, (3 2 0); 63.6°, I = 30, (1 2 3); 63.9°, I = 14, (2 0 3); 69.0°, I = 14, (0 4 2); 69.8°, I = 24, (3 2 2)

Structural model:
```
CoGeN2
1.0
5.4382 0.0000 0.0000
0.0000 6.4015 0.0000
0.0000 0.0000 5.1762
Co Ge N
4 4 8
direct
0.0821 0.1207 0.0000
0.4179 0.6207 0.5000
0.5821 0.3793 0.0000
0.9179 0.8793 0.5000
0.0778 0.6248 0.0025
0.4222 0.1248 0.5025
0.5778 0.8752 0.0025
0.9222 0.3752 0.5025
0.0707 0.6153 0.3661
0.0958 0.1385 0.3892
0.4042 0.6385 0.8892
0.4293 0.1153 0.8661
0.5707 0.8847 0.3661
0.5958 0.3615 0.3892
0.9042 0.8615 0.8892
0.9293 0.3847 0.8661
```

---

(2)
Computed powder XRD pattern of Y4CoGeN2 for λ = 1.5418 Å (Cu Kα), from a cell relaxed with PBE.

Peak list (12 most intense, 2θ from 10° to 90°, by angle)
29.6°, I = 23, (1 0 0); 35.4°, I = 100, (1 0 3); 38.4°, I = 12, (0 0 6); 39.4°, I = 5, (1 0 4); 44.0°, I = 5, (1 0 5); 49.3°, I = 13, (1 0 6); 52.6°, I = 25, (1 1 0); 61.0°, I = 5, (1 0 8); 65.0°, I = 16, (2 0 3); 67.0°, I = 13, (1 1 6); 67.6°, I = 8, (1 0 9); 88.3°, I = 14, (2 1 3)

Structural model:
```
Y4CoGeN2
1.0
3.4812 0.0000 0.0000
-1.7406 3.0148 0.0000
0.0000 0.0000 14.0558
Y Co Ge N
4 1 1 2
direct
0.0000 0.0000 0.1399
0.0000 0.0000 0.8601
0.6667 0.3333 0.3363
0.6667 0.3333 0.6637
0.6667 0.3333 0.0000
0.0000 0.0000 0.5000
0.3333 0.6667 0.2471
0.3333 0.6667 0.7529
```